# Nd2S2F
Theoretical powder XRD pattern, Cu Kα, 1.54184 Å. Input: DFT lattice parameters and positions (PBE).
Neutral-atom scattering factors, no anomalous dispersion.

Peak list (6 most intense, 2θ from 10° to 90°, by angle)
2theta  I/Imax  h k l
15.35  25  0 0 2
22.98  100  1 0 0
27.76  25  1 0 2
32.77  67  1 1 0
45.77  29  1 0 5
52.93  27  2 1 0

Structural model:
```
Nd2S2F
1.0
3.869 0.000 0.000
0.000 3.869 0.000
0.000 0.000 11.543
Nd S F
2 2 1
Cartesian
0.000 0.000 2.258 Nd
0.000 0.000 9.285 Nd
0.000 0.000 4.782 S
0.000 0.000 6.760 S
0.000 0.000 0.000 F
```